No. 1
The following is a simulated powder XRD pattern of ErGeSe4. It was derived from a structure optimized by DFT (PBE), using Cu Kα (weighted mean of Kα1 and Kα2).
Neutral-atom scattering factors, no anomalous dispersion.

Crystal structure
Cell lengths 5.847, 9.237, 6.786 Å; angles 90.00, 111.68, 90.00 degrees
Space group P2_1/m (No. 11)
Unique sites:
Er (0.109, 0.250, 0.156) (multiplicity 2)
Ge (0.302, 0.750, 0.438) (multiplicity 2)
Se (0.034, 0.565, 0.215) (multiplicity 4)
Se (0.317, 0.250, 0.608) (multiplicity 2)
Se (0.387, 0.750, 0.811) (multiplicity 2)

Principal peaks in the range 2θ from 10° to 90°, most intense first:
(hkl), two_theta, d/Å, intensity
0 2 0, 19.22, 4.618, 100
0 1 2, 29.95, 2.984, 77
2 0 -1, 30.65, 2.917, 73
0 3 2, 40.97, 2.203, 55
1 0 -1, 17.16, 5.167, 51
0 3 1, 32.36, 2.767, 50
1 0 0, 16.31, 5.433, 48
2 1 -3, 44.78, 2.024, 44
2 2 -1, 36.43, 2.466, 37
1 3 1, 38.85, 2.318, 30



No. 2
The following is a simulated powder XRD pattern of Ho3Co7Si2. It was derived from a structure optimized by DFT (PBE), using Cu Kα (weighted mean of Kα1 and Kα2).
Neutral-atom scattering factors, no anomalous dispersion.

Crystal structure
Cell lengths 5.1387, 5.1387, 22.4748 Å; angles 90.00, 90.00, 120.00 degrees
Space group R-3m (No. 166, hexagonal axes)
Unique sites:
Ho (0.0000, 0.0000, 0.0000) (multiplicity 3)
Ho (0.0000, 0.0000, 0.1414) (multiplicity 6)
Co (0.0000, 0.0000, 0.5000) (multiplicity 3)
Co (0.0026, 0.5013, 0.0790) (multiplicity 18)
Si (0.0000, 0.0000, 0.3330) (multiplicity 6)

Principal peaks in the range 2θ from 10° to 90°, most intense first:
(hkl), two_theta, d/Å, intensity
1 1 6, 42.67, 2.119, 100
1 0 7, 34.44, 2.604, 69
0 2 1, 40.75, 2.214, 60
1 1 0, 34.92, 2.569, 58
0 1 8, 37.87, 2.376, 50
2 2 0, 73.75, 1.285, 25
1 0 1, 20.34, 4.365, 25
2 1 7, 62.32, 1.490, 24
0 3 6, 67.97, 1.379, 24
1 2 8, 64.58, 1.443, 21



> Which formula does entry 1 have?

ErGeSe4